This entry pairs a crystal structure of LiV4OF11 with its calculated PXRD pattern. Radiation: copper Kα. Structure: a cell relaxed with GGA+U.
No peak broadening, texture or thermal motion is included.

Largest 10 diffraction maxima, in order of falling intensity, 2θ = 10–90°:
(0 1 3), 23.4 deg, 3.803 Å, rel. 100
(1 0 3), 23.7 deg, 3.760 Å, rel. 52
(2 3 -1), 52.8 deg, 1.735 Å, rel. 15
(1 1 -6), 39.7 deg, 2.270 Å, rel. 13
(2 2 0), 39.5 deg, 2.280 Å, rel. 13
(1 2 1), 32.4 deg, 2.761 Å, rel. 11
(0 2 6), 47.8 deg, 1.905 Å, rel. 11
(2 0 6), 48.4 deg, 1.880 Å, rel. 10
(2 2 -4), 47.9 deg, 1.898 Å, rel. 10
(0 1 -5), 32.8 deg, 2.728 Å, rel. 9

Cell: 5.237 5.541 17.228 Å, 83.63 82.16 62.12°
Element x y z (fractional)
Li  0.017  0.156  0.292
Li  0.983  0.844  0.708
V  0.000  0.000  0.500
V  0.141  0.114  0.127
V  0.282  0.232  0.755
V  0.371  0.379  0.376
V  0.500  0.500  0.000
V  0.629  0.621  0.624
V  0.718  0.768  0.245
V  0.859  0.886  0.873
O  0.348  0.969  0.216
O  0.652  0.031  0.784
F  0.078  0.108  0.839
F  0.087  0.678  0.442
F  0.113  0.707  0.960
F  0.125  0.539  0.291
F  0.152  0.154  0.403
F  0.163  0.595  0.802
F  0.320  0.924  0.685
F  0.336  0.348  0.090
F  0.393  0.797  0.534
F  0.403  0.416  0.657
F  0.423  0.816  0.060
F  0.577  0.184  0.940
F  0.597  0.584  0.343
F  0.607  0.203  0.466
F  0.664  0.652  0.910
F  0.680  0.076  0.315
F  0.837  0.405  0.198
F  0.848  0.846  0.597
F  0.875  0.461  0.709
F  0.887  0.293  0.040
F  0.913  0.322  0.558
F  0.922  0.892  0.161


This entry pairs a crystal structure of Li3V4O3F9 with its calculated PXRD pattern. Radiation: copper Kα. Structure: a cell relaxed with GGA+U.
No peak broadening, texture or thermal motion is included.

Largest 10 diffraction maxima, in order of falling intensity, 2θ = 10–90°:
(1 1 -1), 23.8 deg, 3.742 Å, rel. 100
(0 1 2), 23.1 deg, 3.843 Å, rel. 98
(1 0 1), 23.7 deg, 3.762 Å, rel. 97
(1 2 3), 39.3 deg, 2.295 Å, rel. 37
(-1 1 1), 32.2 deg, 2.783 Å, rel. 32
(3 1 -3), 62.1 deg, 1.494 Å, rel. 30
(1 0 3), 40.0 deg, 2.253 Å, rel. 29
(0 1 -2), 32.8 deg, 2.732 Å, rel. 28
(1 2 1), 32.3 deg, 2.770 Å, rel. 26
(0 2 4), 47.3 deg, 1.922 Å, rel. 22

Cell: 5.160 5.565 9.040 Å, 72.92 89.93 62.67°
Element x y z (fractional)
Li  0.000  0.000  0.000
Li  0.157  0.661  0.711
Li  0.735  0.486  0.237
V  0.049  0.879  0.347
V  0.270  0.369  0.091
V  0.582  0.872  0.845
V  0.820  0.402  0.588
O  0.098  0.135  0.162
O  0.991  0.638  0.529
O  0.991  0.653  0.906
F  0.013  0.652  0.210
F  0.054  0.133  0.468
F  0.123  0.135  0.789
F  0.468  0.650  0.038
F  0.506  0.621  0.398
F  0.538  0.645  0.720
F  0.561  0.137  0.963
F  0.607  0.172  0.272
F  0.636  0.143  0.660


This entry pairs a crystal structure of LiVOF3 with its calculated PXRD pattern. Radiation: copper Kα. Structure: a cell relaxed with GGA+U.
No peak broadening, texture or thermal motion is included.

Largest 10 diffraction maxima, in order of falling intensity, 2θ = 10–90°:
(0 1 0), 17.1 deg, 5.176 Å, rel. 100
(0 0 2), 21.8 deg, 4.083 Å, rel. 93
(0 1 2), 27.8 deg, 3.206 Å, rel. 61
(2 0 0), 25.0 deg, 3.568 Å, rel. 56
(3 1 0), 41.8 deg, 2.162 Å, rel. 32
(2 1 0), 30.4 deg, 2.938 Å, rel. 28
(1 2 1), 38.6 deg, 2.332 Å, rel. 26
(2 1 2), 37.7 deg, 2.385 Å, rel. 23
(2 2 2), 48.9 deg, 1.864 Å, rel. 21
(3 1 1), 43.3 deg, 2.090 Å, rel. 18

Cell: 7.137 5.176 8.165 Å, 90.00 90.00 90.00°
Element x y z (fractional)
Li  0.174  0.047  0.000
Li  0.326  0.047  0.500
Li  0.674  0.953  0.000
Li  0.826  0.953  0.500
V  0.006  0.457  0.680
V  0.494  0.457  0.180
V  0.506  0.543  0.680
V  0.994  0.543  0.180
O  0.042  0.346  0.867
O  0.458  0.346  0.367
O  0.542  0.654  0.867
O  0.958  0.654  0.367
F  0.065  0.183  0.531
F  0.100  0.211  0.198
F  0.244  0.651  0.631
F  0.256  0.651  0.131
F  0.400  0.211  0.698
F  0.435  0.183  0.031
F  0.565  0.817  0.531
F  0.600  0.789  0.198
F  0.744  0.349  0.631
F  0.756  0.349  0.131
F  0.900  0.789  0.698
F  0.935  0.817  0.031